(1)
For ErSc3Pd2, a GGA-PBE-relaxed structure gives the computed powder diffractogram in this record (Cu Kα X-rays).
Intensities are scaled so that the largest is 100.

Peak list (10 most intense, 10° ≤ 2θ ≤ 90°, by angle)
two_theta	d (Å)	I_rel	h k l
10.63	8.325	37	0 1 0
25.16	3.539	29	0 2 1
25.70	3.467	39	1 1 1
31.83	2.812	51	1 2 1
32.93	2.720	20	1 0 2
34.29	2.615	23	0 2 2
34.70	2.586	100	1 1 2
34.98	2.565	22	0 3 1
37.80	2.380	45	1 3 0
38.90	2.315	47	2 0 0

Atomic structure:
```
data_ErSc3Pd2
_chemical_formula_sum 'Er2 Sc6 Pd4'
_cell_length_a 4.6302
_cell_length_b 8.3249
_cell_length_c 6.7222
_cell_angle_alpha 90.00
_cell_angle_beta 90.00
_cell_angle_gamma 90.00
_space_group_name_H-M_alt 'P m c 21'
_space_group_IT_number 26
loop_
_space_group_symop_operation_xyz
'x,y,z'
'-x,-y,z+1/2'
'-x,y,z'
'x,-y,z+1/2'
loop_
_atom_site_label
_atom_site_type_symbol
_atom_site_fract_x
_atom_site_fract_y
_atom_site_fract_z
Er1 Er 0.0000 0.0722 0.0000
Sc1 Sc 0.0000 0.3332 0.6285
Sc2 Sc 0.5000 0.1821 0.3384
Sc3 Sc 0.5000 0.4286 0.9633
Pd1 Pd 0.0000 0.3504 0.2277
Pd2 Pd 0.5000 0.1545 0.7367
```

=====

(2)
For VN, a GGA-PBE-relaxed structure gives the computed powder diffractogram in this record (Cu Kα X-rays).
Intensities are scaled so that the largest is 100.

Peak list (10 most intense, 10° ≤ 2θ ≤ 90°, by angle)
two_theta	d (Å)	I_rel	h k l
18.64	4.760	100	1 1 0
26.48	3.366	18	2 0 0
37.21	2.417	84	2 1 1
42.47	2.129	44	3 1 0
44.73	2.026	30	0 0 2
54.53	1.683	23	4 0 0
58.14	1.587	17	3 3 0
63.38	1.468	23	3 1 2
73.10	1.295	17	4 0 2
76.22	1.249	14	3 3 2

Atomic structure:
```
data_VN
_chemical_formula_sum 'V8 N8'
_cell_length_a 6.7312
_cell_length_b 6.7312
_cell_length_c 4.0525
_cell_angle_alpha 90.00
_cell_angle_beta 90.00
_cell_angle_gamma 90.00
_space_group_name_H-M_alt 'I 4/m c m'
_space_group_IT_number 140
_space_group_name_Hall '-I 4 2c'
loop_
_atom_site_label
_atom_site_type_symbol
_atom_site_fract_x
_atom_site_fract_y
_atom_site_fract_z
V1 V 0.1443 0.3557 0.0000
N1 N 0.1487 0.3513 0.5000
```

=====

(3)
For BaNaB12, a GGA-PBE-relaxed structure gives the computed powder diffractogram in this record (Cu Kα X-rays).
Intensities are scaled so that the largest is 100.

Peak list (10 most intense, 10° ≤ 2θ ≤ 90°, by angle)
two_theta	d (Å)	I_rel	h k l
18.18	4.879	88	1 1 1
21.02	4.226	33	2 0 0
29.90	2.988	100	2 2 0
35.22	2.548	51	3 1 1
36.84	2.440	45	2 2 2
42.80	2.113	23	4 0 0
46.86	1.939	23	3 3 1
48.15	1.890	46	4 2 0
66.36	1.409	30	4 4 2
70.47	1.336	22	6 2 0

Atomic structure:
```
data_BaNaB12
_chemical_formula_sum 'Ba4 Na4 B48'
_cell_length_a 8.4514
_cell_length_b 8.4514
_cell_length_c 8.4514
_cell_angle_alpha 90.00
_cell_angle_beta 90.00
_cell_angle_gamma 90.00
_space_group_name_H-M_alt 'F m -3 m'
_space_group_IT_number 225
_space_group_name_Hall '-F 4 2 3'
loop_
_atom_site_label
_atom_site_type_symbol
_atom_site_fract_x
_atom_site_fract_y
_atom_site_fract_z
Ba1 Ba 0.0000 0.0000 0.0000
Na1 Na 0.0000 0.0000 0.5000
B1 B 0.1006 0.2500 0.2500
```

=====

(4)
For Nd3Zn2Cu, a GGA-PBE-relaxed structure gives the computed powder diffractogram in this record (Cu Kα X-rays).
Intensities are scaled so that the largest is 100.

Peak list (10 most intense, 10° ≤ 2θ ≤ 90°, by angle)
two_theta	d (Å)	I_rel	h k l
24.28	3.665	15	1 0 0
34.61	2.592	51	1 1 0
34.73	2.583	100	1 0 3
49.75	1.833	18	2 0 0
50.12	1.820	9	0 0 6
62.10	1.495	36	2 1 3
62.34	1.489	18	1 1 6
73.31	1.291	11	2 0 6
83.41	1.159	15	3 1 0
84.02	1.152	7	1 0 9

Atomic structure:
```
data_Nd3Zn2Cu
_chemical_formula_sum 'Nd3 Zn2 Cu1'
_cell_length_a 3.6655
_cell_length_b 3.6655
_cell_length_c 10.9198
_cell_angle_alpha 90.00
_cell_angle_beta 90.00
_cell_angle_gamma 90.00
_space_group_name_H-M_alt 'P 4/m m m'
_space_group_IT_number 123
_space_group_name_Hall '-P 4 2'
loop_
_atom_site_label
_atom_site_type_symbol
_atom_site_fract_x
_atom_site_fract_y
_atom_site_fract_z
Nd1 Nd 0.0000 0.0000 0.0000
Nd2 Nd 0.0000 0.0000 0.3372
Zn1 Zn 0.5000 0.5000 0.1660
Cu1 Cu 0.5000 0.5000 0.5000
```